Calculated powder X-ray diffraction pattern
Compound: NaLiMgPO4F
Radiation: Cu Ka
Structure: a cell relaxed with PBE
Intensities are scaled so that the largest is 100.

Cell and atoms:
Cell lengths 6.896, 11.347, 5.082 Å; angles 90.00, 90.02, 90.00 degrees
Space group P2_1/c (No. 14)
Asymmetric unit:
Na (0.011, 0.165, 0.247)
Li (0.240, 0.080, 0.737)
Mg (0.482, 0.171, 0.263)
P (0.254, 0.582, 0.729)
O (0.042, 0.624, 0.760)
O (0.283, 0.041, 0.358)
O (0.305, 0.574, 0.429)
O (0.391, 0.672, 0.869)
F (0.301, 0.213, 0.964)

Largest 8 diffraction maxima, by intensity, 10 to 80 degrees two-theta:
| 2θ (°) | I (rel.) |
| --- | --- |
| 23.11 | 100 |
| 26.88 | 60 |
| 35.21 | 51 |
| 38.62 | 48 |
| 30.33 | 47 |
| 35.32 | 33 |
| 55.41 | 29 |
| 47.23 | 26 |